This entry pairs a crystal structure of LiCuNi2O4 with its computed powder diffractogram. Radiation: Cu Kα X-rays. Structure: DFT lattice parameters and positions (PBE+U).
Lines closer than 0.1° are merged.

Atomic structure:
a b c (Å): 8.016 8.065 6.118
angles (deg): 90.00 130.22 90.00
Space group C2/c (No. 15)
One atom of each set of equivalent atoms:
Li: 0.000 0.000 0.000 x4
Cu: 0.250 0.250 0.000 x4
Ni: 0.000 0.500 0.000 x4
Ni: 0.250 0.250 0.500 x4
O: 0.052 0.249 0.073 x8
O: 0.231 0.484 0.959 x8

The 10 most intense peaks (2θ = 10–90°), by angle:
h k l, two_theta, I/Imax
1 1 0, 18.20, 88
0 2 0, 22.04, 28
2 2 0, 36.86, 92
2 2 -2, 37.17, 70
0 0 2, 38.55, 100
0 4 0, 44.96, 69
4 0 -2, 45.25, 68
0 4 2, 60.68, 45
4 0 -4, 61.32, 23
4 4 -2, 65.70, 38